[1]
Diffraction record for SrCeEuNbO6. The powder X-ray diffraction pattern is theoretical, not measured: it uses a PBE-relaxed structure and Cu Kα X-rays.
Lines closer than 0.1° are merged.

Crystal structure
```
data_SrCeEuNbO6
_symmetry_space_group_name_H-M 'F -4 3 m'
_symmetry_Int_Tables_number 216
_symmetry_space_group_name_Hall 'F -4 2 3'
_cell_length_a 8.5464
_cell_length_b 8.5464
_cell_length_c 8.5464
_cell_angle_alpha 90.00
_cell_angle_beta 90.00
_cell_angle_gamma 90.00
loop_
_atom_site_label
_atom_site_type_symbol
_atom_site_fract_x
_atom_site_fract_y
_atom_site_fract_z
Sr1 Sr 0.0000 0.0000 0.0000
Ce1 Ce 0.2500 0.2500 0.2500
Eu1 Eu 0.0000 0.0000 0.5000
Nb1 Nb 0.2500 0.2500 0.7500
O1 O 0.0129 0.2500 0.7500
```

Main lines, most intense first (2θ = 15–90°):
29.56 deg, I 100
52.45 deg, I 41
42.30 deg, I 31
84.91 deg, I 21
61.36 deg, I 19
69.57 deg, I 18
77.36 deg, I 6
17.98 deg, I 6
34.82 deg, I 4
46.31 deg, I 2

***

[2]
Diffraction record for Rb2O. The powder X-ray diffraction pattern is theoretical, not measured: it uses a PBE-relaxed structure and Cu Kα X-rays.
Lines closer than 0.1° are merged.

Crystal structure
```
data_Rb2O
_symmetry_space_group_name_H-M 'F m -3 m'
_symmetry_Int_Tables_number 225
_symmetry_space_group_name_Hall '-F 4 2 3'
_cell_length_a 6.8772
_cell_length_b 6.8772
_cell_length_c 6.8772
_cell_angle_alpha 90.00
_cell_angle_beta 90.00
_cell_angle_gamma 90.00
loop_
_atom_site_label
_atom_site_type_symbol
_atom_site_fract_x
_atom_site_fract_y
_atom_site_fract_z
Rb1 Rb 0.2500 0.2500 0.2500
O1 O 0.0000 0.0000 0.0000
```

Main lines, most intense first (2θ = 15–90°):
36.97 deg, I 100
25.91 deg, I 87
60.17 deg, I 33
66.62 deg, I 33
45.70 deg, I 25
84.53 deg, I 17
53.28 deg, I 17
78.71 deg, I 10
22.39 deg, I 2
43.65 deg, I 1

***

[3]
Diffraction record for EuC6. The powder X-ray diffraction pattern is theoretical, not measured: it uses a PBE-relaxed structure and Cu Kα X-rays.
Lines closer than 0.1° are merged.

Crystal structure
```
data_EuC6
_symmetry_space_group_name_H-M 'P 63/m m c'
_symmetry_Int_Tables_number 194
_symmetry_space_group_name_Hall '-P 6c 2c'
_cell_length_a 4.3434
_cell_length_b 4.3434
_cell_length_c 9.4909
_cell_angle_alpha 90.00
_cell_angle_beta 90.00
_cell_angle_gamma 120.00
loop_
_atom_site_label
_atom_site_type_symbol
_atom_site_fract_x
_atom_site_fract_y
_atom_site_fract_z
Eu1 Eu 0.3333 0.6667 0.2500
C1 C 0.0000 0.3335 0.0000
```

Main lines, most intense first (2θ = 15–90°):
25.47 deg, I 100
45.96 deg, I 38
37.13 deg, I 38
30.32 deg, I 22
23.65 deg, I 20
49.40 deg, I 17
37.92 deg, I 16
66.50 deg, I 14
54.12 deg, I 13
41.59 deg, I 12

***

[4]
Diffraction record for TbBr3. The powder X-ray diffraction pattern is theoretical, not measured: it uses a PBE-relaxed structure and Cu Kα X-rays.
Lines closer than 0.1° are merged.

Crystal structure
```
data_TbBr3
_symmetry_space_group_name_H-M 'P 63/m m c'
_symmetry_Int_Tables_number 194
_symmetry_space_group_name_Hall '-P 6c 2c'
_cell_length_a 10.2942
_cell_length_b 10.2942
_cell_length_c 3.7748
_cell_angle_alpha 90.00
_cell_angle_beta 90.00
_cell_angle_gamma 120.00
loop_
_atom_site_label
_atom_site_type_symbol
_atom_site_fract_x
_atom_site_fract_y
_atom_site_fract_z
Tb1 Tb 0.3333 0.6667 0.2500
Br1 Br 0.2137 0.4274 0.7500
```

Main lines, most intense first (2θ = 15–90°):
31.05 deg, I 100
19.92 deg, I 63
17.23 deg, I 51
35.72 deg, I 44
43.77 deg, I 43
38.56 deg, I 32
63.07 deg, I 24
36.33 deg, I 22
53.40 deg, I 21
34.86 deg, I 21

***

[5]
Diffraction record for Y2Co17H3. The powder X-ray diffraction pattern is theoretical, not measured: it uses a PBE-relaxed structure and Cu Kα X-rays.
Lines closer than 0.1° are merged.

Crystal structure
```
data_Y2Co17H3
_symmetry_space_group_name_H-M 'R -3 m'
_symmetry_Int_Tables_number 166
_symmetry_space_group_name_Hall '-R 3 2"'
_cell_length_a 8.3866
_cell_length_b 8.3866
_cell_length_c 12.0835
_cell_angle_alpha 90.00
_cell_angle_beta 90.00
_cell_angle_gamma 120.00
loop_
_atom_site_label
_atom_site_type_symbol
_atom_site_fract_x
_atom_site_fract_y
_atom_site_fract_z
Y1 Y 0.0000 0.0000 0.1562
Co1 Co 0.0000 0.0000 0.4039
Co2 Co 0.0000 0.2841 0.5000
Co3 Co 0.0000 0.5000 0.0000
Co4 Co 0.0054 0.5027 0.3482
H1 H 0.0000 0.5000 0.5000
```

Main lines, most intense first (2θ = 15–90°):
43.62 deg, I 100
43.15 deg, I 74
45.03 deg, I 59
48.98 deg, I 55
38.77 deg, I 35
37.14 deg, I 34
30.78 deg, I 19
50.27 deg, I 19
79.12 deg, I 18
82.08 deg, I 16

***

[6]
Diffraction record for Nd2Si3Pt3. The powder X-ray diffraction pattern is theoretical, not measured: it uses a PBE-relaxed structure and Cu Kα X-rays.
Lines closer than 0.1° are merged.

Crystal structure
```
data_Nd2Si3Pt3
_symmetry_space_group_name_H-M 'P 4/m m m'
_symmetry_Int_Tables_number 123
_symmetry_space_group_name_Hall '-P 4 2'
_cell_length_a 2.7987
_cell_length_b 2.7987
_cell_length_c 21.1601
_cell_angle_alpha 90.00
_cell_angle_beta 90.00
_cell_angle_gamma 90.00
loop_
_atom_site_label
_atom_site_type_symbol
_atom_site_fract_x
_atom_site_fract_y
_atom_site_fract_z
Nd1 Nd 0.0000 0.0000 0.2463
Si1 Si 0.0000 0.0000 0.0000
Si2 Si 0.0000 0.0000 0.3889
Pt1 Pt 0.0000 0.0000 0.1119
Pt2 Pt 0.0000 0.0000 0.5000
```

Main lines, most intense first (2θ = 15–90°):
31.98 deg, I 100
47.29 deg, I 55
45.85 deg, I 37
33.89 deg, I 34
58.22 deg, I 31
20.99 deg, I 28
38.57 deg, I 25
34.48 deg, I 22
85.91 deg, I 21
76.04 deg, I 17